For DyTlW2O8, a DFT-relaxed cell (GGA+U, the Materials Project) gives the simulated powder XRD pattern in this record (copper Kα).
Kinematic intensities with the Lorentz-polarization factor, no thermal factor.

Crystal structure
```
DyTlW2O8
1.0
5.4681 -5.3379 0.0000
5.4681 5.3379 0.0000
-4.8193 0.0000 5.7035
Dy Tl W O
2 2 4 16
direct
0.2239 0.7761 0.7500
0.7761 0.2239 0.2500
0.2049 0.7951 0.2500
0.7951 0.2049 0.7500
0.2991 0.3104 0.7821
0.3104 0.2991 0.2821
0.6896 0.7009 0.7179
0.7009 0.6896 0.2179
0.0454 0.2167 0.1905
0.0625 0.3751 0.6229
0.2167 0.0454 0.6905
0.2452 0.3797 0.0581
0.3702 0.5898 0.5339
0.3751 0.0625 0.1229
0.3797 0.2452 0.5581
0.4102 0.6298 0.9661
0.5898 0.3702 0.0339
0.6203 0.7548 0.4419
0.6249 0.9375 0.8771
0.6298 0.4102 0.4661
0.7548 0.6203 0.9419
0.7833 0.9546 0.3095
0.9375 0.6249 0.3771
0.9546 0.7833 0.8095
```

Main lines, in order of rising 2θ (2θ = 5–70°):
2θ (°), I_rel
27.11, 100.0
27.24, 31.5
27.95, 20.7
29.21, 97.1
31.37, 40.9
32.97, 22.5
33.25, 21.3
55.72, 23.0


For MgMn6O8F4, a DFT-relaxed cell (GGA+U, the Materials Project) gives the simulated powder XRD pattern in this record (copper Kα).
Kinematic intensities with the Lorentz-polarization factor, no thermal factor.

Crystal structure
```
MgMn6O8F4
1.0
5.2026 0.0000 0.0000
0.5344 5.7123 0.0000
0.4032 0.9360 7.5454
Mg Mn O F
1 6 8 4
direct
0.0000 0.0000 0.0000
0.0099 0.9884 0.5090
0.0111 0.6085 0.8284
0.4945 0.1100 0.8047
0.4987 0.4964 0.5159
0.5316 0.8460 0.2018
0.9707 0.3645 0.1945
0.1517 0.9183 0.7539
0.3193 0.4198 0.7409
0.3250 0.8085 0.4216
0.6690 0.5444 0.2865
0.6930 0.8486 0.9469
0.6971 0.1823 0.5951
0.8692 0.3429 0.9616
0.8716 0.0471 0.2623
0.1550 0.6584 0.0891
0.1776 0.3216 0.4026
0.3297 0.1242 0.0650
0.8101 0.6767 0.6020
```

Main lines, in order of rising 2θ (2θ = 5–70°):
2θ (°), I_rel
23.91, 100.0
26.49, 75.0
34.61, 45.5
34.97, 21.6
35.17, 19.2
35.70, 16.6
48.94, 17.5
61.81, 14.7


For MgMnPbO3, a DFT-relaxed cell (GGA+U, the Materials Project) gives the simulated powder XRD pattern in this record (copper Kα).
Kinematic intensities with the Lorentz-polarization factor, no thermal factor.

Crystal structure
```
MgMnPbO3
1.0
6.6923 0.0000 0.0000
0.0000 5.9250 0.0000
-0.7423 0.0000 4.4237
Mg Mn Pb O
2 2 2 6
direct
0.0000 0.0000 0.0000
0.5000 0.5000 0.0000
0.2025 0.5000 0.2950
0.7025 0.0000 0.2950
0.3672 0.0000 0.6314
0.8672 0.5000 0.6314
0.2150 0.5000 0.7868
0.4613 0.2516 0.2823
0.4613 0.7484 0.2823
0.7150 0.0000 0.7868
0.9613 0.2484 0.2823
0.9613 0.7516 0.2823
```

Main lines, in order of rising 2θ (2θ = 5–70°):
2θ (°), I_rel
20.12, 83.3
26.96, 59.9
30.16, 100.0
31.01, 23.1
36.52, 29.2
43.71, 29.4
43.85, 58.4
53.57, 20.4


For LiNiBO3, a DFT-relaxed cell (GGA+U, the Materials Project) gives the simulated powder XRD pattern in this record (copper Kα).
Kinematic intensities with the Lorentz-polarization factor, no thermal factor.

Crystal structure
```
LiNiBO3
1.0
3.1002 0.0000 0.0000
0.0000 9.4191 0.0000
-2.7970 0.0000 8.9610
Li Ni B O
4 4 4 12
direct
0.1142 0.2092 0.3681
0.1142 0.2908 0.8681
0.8858 0.7092 0.1319
0.8858 0.7908 0.6319
0.4673 0.5605 0.7192
0.4673 0.9395 0.2192
0.5327 0.0605 0.7808
0.5327 0.4395 0.2808
0.1468 0.7026 0.3973
0.1468 0.7974 0.8973
0.8532 0.2026 0.1027
0.8532 0.2974 0.6027
0.0584 0.5802 0.3083
0.0584 0.9198 0.8083
0.0588 0.6676 0.8222
0.0588 0.8324 0.3222
0.3134 0.7014 0.5492
0.3134 0.7986 0.0492
0.6866 0.2014 0.9508
0.6866 0.2986 0.4508
0.9412 0.1676 0.6778
0.9412 0.3324 0.1778
0.9416 0.0802 0.1917
0.9416 0.4198 0.6917
```

Main lines, in order of rising 2θ (2θ = 5–70°):
2θ (°), I_rel
13.64, 41.8
19.82, 100.0
21.31, 63.2
27.48, 66.0
34.65, 38.8
36.40, 22.2
52.53, 24.0
53.35, 25.8


For Mn3Si3O10, a DFT-relaxed cell (GGA+U, the Materials Project) gives the simulated powder XRD pattern in this record (copper Kα).
Kinematic intensities with the Lorentz-polarization factor, no thermal factor.

Crystal structure
```
Mn3Si3O10
1.0
7.8540 -2.4758 0.0000
7.8540 2.4758 0.0000
-0.2779 0.0000 10.2131
Mn Si O
6 6 20
direct
0.0000 0.5000 0.0000
0.0654 0.6274 0.7266
0.3726 0.9346 0.7734
0.5000 0.0000 0.5000
0.6274 0.0654 0.2266
0.9346 0.3726 0.2734
0.1574 0.5521 0.4106
0.1872 0.8128 0.2500
0.4479 0.8426 0.0894
0.5521 0.1574 0.9106
0.8128 0.1872 0.7500
0.8426 0.4479 0.5894
0.0589 0.0787 0.8358
0.0787 0.0589 0.3358
0.1353 0.1820 0.1072
0.1820 0.1353 0.6072
0.2484 0.4288 0.5597
0.2684 0.2964 0.3249
0.2964 0.2684 0.8249
0.3377 0.5546 0.3479
0.4288 0.2484 0.0597
0.4454 0.6623 0.1521
0.5546 0.3377 0.8479
0.5712 0.7516 0.9403
0.6623 0.4454 0.6521
0.7036 0.7316 0.1751
0.7316 0.7036 0.6751
0.7516 0.5712 0.4403
0.8180 0.8647 0.3928
0.8647 0.8180 0.8928
0.9213 0.9411 0.6642
0.9411 0.9213 0.1642
```

Main lines, in order of rising 2θ (2θ = 5–70°):
2θ (°), I_rel
11.27, 72.3
17.37, 16.0
21.01, 24.1
26.42, 100.0
32.29, 32.1
34.75, 16.0
35.16, 14.5
35.98, 30.6


For LiFeP3H8O13, a DFT-relaxed cell (GGA+U, the Materials Project) gives the simulated powder XRD pattern in this record (copper Kα).
Kinematic intensities with the Lorentz-polarization factor, no thermal factor.

Crystal structure
```
LiFeP3H8O13
1.0
7.3108 0.0000 0.0000
1.7771 7.5865 0.0000
2.7411 0.4797 9.7299
Li Fe P H O
2 2 6 16 26
direct
0.1962 0.1857 0.2364
0.8038 0.8143 0.7636
0.0000 0.0000 0.0000
0.0000 0.5000 0.5000
0.2429 0.8045 0.4772
0.3302 0.8067 0.7449
0.4078 0.5427 0.2713
0.5922 0.4573 0.7287
0.6698 0.1933 0.2551
0.7571 0.1955 0.5228
0.0755 0.2603 0.7946
0.0981 0.6466 0.0869
0.1472 0.3461 0.9924
0.1860 0.1790 0.5699
0.3096 0.3020 0.6017
0.3116 0.8649 0.1016
0.3476 0.3787 0.9949
0.3670 0.9672 0.9602
0.6330 0.0328 0.0398
0.6524 0.6213 0.0051
0.6884 0.1351 0.8984
0.6904 0.6980 0.3983
0.8140 0.8210 0.4301
0.8528 0.6539 0.0076
0.9019 0.3534 0.9131
0.9245 0.7397 0.2054
0.0176 0.2557 0.8954
0.0908 0.7036 0.5598
0.1179 0.8554 0.8189
0.1758 0.2856 0.6170
0.1918 0.9585 0.3855
0.2134 0.3871 0.0525
0.2436 0.4472 0.3303
0.2722 0.9794 0.0516
0.3531 0.8583 0.5811
0.3849 0.5923 0.7478
0.4116 0.6540 0.1411
0.4264 0.6578 0.3920
0.4749 0.8801 0.7886
0.5251 0.1199 0.2114
0.5736 0.3422 0.6080
0.5884 0.3460 0.8589
0.6151 0.4077 0.2522
0.6469 0.1417 0.4189
0.7278 0.0206 0.9484
0.7564 0.5528 0.6697
0.7866 0.6129 0.9475
0.8082 0.0415 0.6145
0.8242 0.7144 0.3830
0.8821 0.1446 0.1811
0.9092 0.2964 0.4402
0.9824 0.7443 0.1046
```

Main lines, in order of rising 2θ (2θ = 5–70°):
2θ (°), I_rel
9.09, 48.3
15.17, 61.5
15.49, 100.0
19.48, 75.9
20.01, 59.4
24.96, 49.5
29.99, 30.8
31.30, 49.2